The following is a computed powder XRD pattern of TiZn2Pd. It was derived from a structure optimized by DFT (GGA-PBE), using Cu Kα (weighted mean of Kα1 and Kα2).

Main lines, in order of rising 2θ (2θ = 10–80°):
2θ/deg, I/Imax
24.9, 10
41.3, 100
48.8, 5
59.8, 16
65.8, 2
75.2, 31

Unit cell a=4.3748 b=4.3748 c=4.3748 alpha=60.00 beta=60.00 gamma=60.00
Positions (direct):
Ti (0.0000, 0.0000, 0.0000)
Zn (0.2500, 0.2500, 0.2500)
Zn (0.7500, 0.7500, 0.7500)
Pd (0.5000, 0.5000, 0.5000)